Entry 1:
# RbBe2PH2
Theoretical powder XRD pattern, λ = 1.5418 Å (Cu Kα). Input: DFT lattice parameters and positions (PBE).
Neutral-atom scattering factors, no anomalous dispersion.

Most intense lines, 10 to 80 degrees two-theta, in order of falling intensity:
hkl 2 0 0, 24.9°, intensity 1000
hkl 2 2 1, 35.4°, intensity 502
hkl 1 1 1, 24.9°, intensity 391
hkl 1 3 0, 24.6°, intensity 341
hkl 2 4 1, 43.6°, intensity 203
hkl 0 4 1, 35.1°, intensity 167
hkl 1 7 1, 56.8°, intensity 155
hkl 2 2 0, 28.7°, intensity 148

Cell and atoms:
a = 7.1566 Å, b = 12.5988 Å, c = 4.3601 Å
α = 90.00°, β = 90.00°, γ = 90.00°
Space group Cmcm (No. 63)
Symmetry-distinct sites (fractional):
Rb 0.0000 0.1770 0.2500 [4 per cell]
Be 0.1592 0.5000 0.0000 [8 per cell]
P 0.0000 0.3818 0.7500 [4 per cell]
H 0.2155 0.0455 0.7500 [8 per cell]

***

Entry 2:
# Co2AsPb
Theoretical powder XRD pattern, λ = 1.5418 Å (Cu Kα). Input: DFT lattice parameters and positions (PBE).
Neutral-atom scattering factors, no anomalous dispersion.

Most intense lines, 10 to 80 degrees two-theta, in order of falling intensity:
hkl 1 1 1, 35.2°, intensity 1000
hkl 0 2 0, 47.5°, intensity 870
hkl 2 0 -2, 34.7°, intensity 510
hkl 1 1 -1, 29.0°, intensity 405
hkl 1 1 -2, 38.7°, intensity 387
hkl 1 1 0, 27.5°, intensity 379
hkl 0 0 2, 33.3°, intensity 367
hkl 1 1 3, 64.4°, intensity 207

Cell and atoms:
a = 6.6383 Å, b = 3.8257 Å, c = 5.8601 Å
α = 90.00°, β = 113.24°, γ = 90.00°
Space group C2/m (No. 12)
Symmetry-distinct sites (fractional):
Co 0.2112 0.0000 0.1281 [4 per cell]
As 0.0000 0.5000 0.0000 [2 per cell]
Pb 0.0000 0.0000 0.5000 [2 per cell]

***

Entry 3:
# LaInGa
Theoretical powder XRD pattern, λ = 1.5418 Å (Cu Kα). Input: DFT lattice parameters and positions (PBE).
Neutral-atom scattering factors, no anomalous dispersion.

Most intense lines, 10 to 80 degrees two-theta, in order of falling intensity:
hkl 1 0 1, 30.2°, intensity 1000
hkl 1 1 0, 39.2°, intensity 471
hkl 0 2 1, 50.2°, intensity 237
hkl 1 1 2, 57.7°, intensity 212
hkl 2 1 1, 65.5°, intensity 210
hkl 0 0 2, 40.6°, intensity 101
hkl 0 1 2, 46.9°, intensity 97
hkl 1 0 3, 67.5°, intensity 95

Cell and atoms:
a = 4.5965 Å, b = 4.5965 Å, c = 4.4391 Å
α = 90.00°, β = 90.00°, γ = 120.00°
Space group P3m1 (No. 156)
Symmetry-distinct sites (fractional):
La 0.0000 0.0000 0.0000 [1 per cell]
In 0.3333 0.6667 0.5293 [1 per cell]
Ga 0.6667 0.3333 0.4076 [1 per cell]

***

Entry 4:
# KCeH2F8
Theoretical powder XRD pattern, λ = 1.5418 Å (Cu Kα). Input: DFT lattice parameters and positions (PBE).
Neutral-atom scattering factors, no anomalous dispersion.

Most intense lines, 10 to 80 degrees two-theta, in order of falling intensity:
hkl 0 0 2, 19.0°, intensity 1000
hkl 1 0 0, 23.9°, intensity 691
hkl 0 1 -2, 27.2°, intensity 668
hkl 0 1 1, 21.5°, intensity 630
hkl 0 1 0, 19.3°, intensity 448
hkl 1 1 0, 25.2°, intensity 435
hkl 1 2 -2, 43.4°, intensity 428
hkl 0 0 4, 38.6°, intensity 351

Cell and atoms:
a = 3.9565 Å, b = 4.8887 Å, c = 9.3314 Å
α = 89.60°, β = 89.28°, γ = 70.09°
Space group P-1 (No. 2)
Symmetry-distinct sites (fractional):
K 0.0000 0.0000 0.0000 [1 per cell]
Ce 0.0000 0.0000 0.5000 [1 per cell]
H 0.0094 0.5049 0.7134 [2 per cell]
F 0.0518 0.7497 0.3022 [2 per cell]
F 0.0688 0.6932 0.7130 [2 per cell]
F 0.3526 0.3912 0.0403 [2 per cell]
F 0.4037 0.2631 0.4874 [2 per cell]

***

Entry 5:
# PmSmTm
Theoretical powder XRD pattern, λ = 1.5418 Å (Cu Kα). Input: DFT lattice parameters and positions (PBE).
Neutral-atom scattering factors, no anomalous dispersion.

Most intense lines, 10 to 80 degrees two-theta, in order of falling intensity:
hkl 3 1 0, 30.5°, intensity 1000
hkl 2 0 2, 35.3°, intensity 340
hkl 4 2 -2, 50.9°, intensity 181
hkl 0 2 0, 35.5°, intensity 167
hkl 7 1 -2, 60.4°, intensity 145
hkl 5 1 2, 60.5°, intensity 143
hkl 3 3 0, 60.7°, intensity 142
hkl 6 2 0, 63.5°, intensity 124

Cell and atoms:
a = 11.3871 Å, b = 5.0527 Å, c = 7.1834 Å
α = 90.00°, β = 108.52°, γ = 90.00°
Space group C2/m (No. 12)
Symmetry-distinct sites (fractional):
Pm 0.0015 0.0000 0.2523 [4 per cell]
Sm 0.1682 0.5000 0.0847 [4 per cell]
Tm 0.1665 0.5000 0.5823 [4 per cell]

***

Entry 6:
# La2Pm4Tl
Theoretical powder XRD pattern, λ = 1.5418 Å (Cu Kα). Input: DFT lattice parameters and positions (PBE).
Neutral-atom scattering factors, no anomalous dispersion.

Most intense lines, 10 to 80 degrees two-theta, in order of falling intensity:
hkl 1 2 1, 31.4°, intensity 1000
hkl 2 1 2, 34.3°, intensity 588
hkl 1 1 3, 31.1°, intensity 500
hkl 0 2 2, 31.8°, intensity 252
hkl 1 2 5, 52.1°, intensity 233
hkl 2 3 2, 52.7°, intensity 232
hkl 0 1 4, 35.6°, intensity 215
hkl 3 2 1, 50.2°, intensity 182

Cell and atoms:
a = 6.6754 Å, b = 6.5726 Å, c = 10.9248 Å
α = 90.00°, β = 90.00°, γ = 90.00°
Space group Pmna (No. 53)
Symmetry-distinct sites (fractional):
La 0.0000 0.2356 0.0007 [4 per cell]
Pm 0.0000 0.0009 0.3267 [4 per cell]
Pm 0.2500 0.4985 0.7500 [4 per cell]
Tl 0.0000 0.5000 0.5000 [2 per cell]

***

Entry 7:
# Ho2Zn3Cu2
Theoretical powder XRD pattern, λ = 1.5418 Å (Cu Kα). Input: DFT lattice parameters and positions (PBE).
Neutral-atom scattering factors, no anomalous dispersion.

Most intense lines, 10 to 80 degrees two-theta, in order of falling intensity:
hkl 4 0 0, 40.6°, intensity 1000
hkl 3 1 -2, 39.3°, intensity 562
hkl 3 1 0, 37.0°, intensity 514
hkl 1 1 -2, 34.2°, intensity 490
hkl 0 2 0, 42.6°, intensity 477
hkl 3 1 -1, 35.2°, intensity 398
hkl 1 1 1, 29.5°, intensity 392
hkl 4 2 0, 60.4°, intensity 309

Cell and atoms:
a = 9.6346 Å, b = 4.2425 Å, c = 6.6836 Å
α = 90.00°, β = 112.91°, γ = 90.00°
Space group C2/m (No. 12)
Symmetry-distinct sites (fractional):
Ho 0.1460 0.0000 0.2730 [4 per cell]
Zn 0.0000 0.5000 0.5000 [2 per cell]
Zn 0.1186 0.5000 0.9318 [4 per cell]
Cu 0.1425 0.0000 0.7120 [4 per cell]

***

Entry 8:
# PrHo4
Theoretical powder XRD pattern, λ = 1.5418 Å (Cu Kα). Input: DFT lattice parameters and positions (PBE).
Neutral-atom scattering factors, no anomalous dispersion.

Most intense lines, 10 to 80 degrees two-theta, in order of falling intensity:
hkl 2 0 1, 30.7°, intensity 1000
hkl 1 1 3, 35.7°, intensity 671
hkl 2 2 1, 61.0°, intensity 332
hkl 0 0 5, 30.9°, intensity 327
hkl 0 2 0, 51.3°, intensity 241
hkl 2 0 6, 51.5°, intensity 235
hkl 3 1 -6, 61.2°, intensity 186
hkl 4 0 2, 64.0°, intensity 123

Cell and atoms:
a = 6.1707 Å, b = 3.5641 Å, c = 14.6205 Å
α = 90.00°, β = 97.99°, γ = 90.00°
Space group C2/m (No. 12)
Symmetry-distinct sites (fractional):
Pr 0.0000 0.0000 0.0000 [2 per cell]
Ho 0.0990 0.5000 0.7952 [4 per cell]
Ho 0.1995 0.0000 0.5987 [4 per cell]

***

Please write out number 5 again, unchanged.
# PmSmTm
Theoretical powder XRD pattern, λ = 1.5418 Å (Cu Kα). Input: DFT lattice parameters and positions (PBE).
Neutral-atom scattering factors, no anomalous dispersion.

Most intense lines, 10 to 80 degrees two-theta, in order of falling intensity:
hkl 3 1 0, 30.5°, intensity 1000
hkl 2 0 2, 35.3°, intensity 340
hkl 4 2 -2, 50.9°, intensity 181
hkl 0 2 0, 35.5°, intensity 167
hkl 7 1 -2, 60.4°, intensity 145
hkl 5 1 2, 60.5°, intensity 143
hkl 3 3 0, 60.7°, intensity 142
hkl 6 2 0, 63.5°, intensity 124

Cell and atoms:
a = 11.3871 Å, b = 5.0527 Å, c = 7.1834 Å
α = 90.00°, β = 108.52°, γ = 90.00°
Space group C2/m (No. 12)
Symmetry-distinct sites (fractional):
Pm 0.0015 0.0000 0.2523 [4 per cell]
Sm 0.1682 0.5000 0.0847 [4 per cell]
Tm 0.1665 0.5000 0.5823 [4 per cell]

***

Q: Which formula does entry 5 have?
A: PmSmTm